No. 1
Starting from a cell relaxed with PBE, the X-ray diffraction stick pattern of Hf3TiPt2S was computed for Cu Kα.
Lines closer than 0.1° are merged.

Peak list (12 most intense, 2θ = 10–90°, most intense first)
| index | 2theta | I_rel |
| --- | --- | --- |
| 0 2 0 | 38.7 | 100 |
| 1 1 2 | 30.9 | 61 |
| 1 1 0 | 27.9 | 61 |
| 1 0 5 | 38.9 | 48 |
| 2 0 0 | 41.0 | 36 |
| 1 2 5 | 56.1 | 34 |
| 2 2 0 | 57.7 | 27 |
| 0 1 1 | 20.2 | 23 |
| 0 1 5 | 38.3 | 22 |
| 2 1 5 | 57.3 | 13 |
| 0 0 6 | 39.7 | 11 |
| 3 2 5 | 86.1 | 10 |

Crystal structure
```
data_Hf3TiPt2S
_chemical_formula_sum 'Hf6 Ti2 Pt4 S2'
_cell_length_a 4.404
_cell_length_b 4.649
_cell_length_c 13.612
_cell_angle_alpha 90.00
_cell_angle_beta 90.00
_cell_angle_gamma 90.00
_space_group_name_H-M_alt 'I m m m'
_space_group_IT_number 71
_space_group_name_Hall '-I 2 2'
loop_
_atom_site_label
_atom_site_fract_x
_atom_site_fract_y
_atom_site_fract_z
_atom_site_occupancy
Hf1 0.000 0.000 0.000 1
Hf2 0.000 0.500 0.187 1
Ti1 0.000 0.000 0.500 1
Pt1 0.000 0.500 0.374 1
S1 0.000 0.500 0.000 1
```

---

No. 2
Starting from a cell relaxed with PBE, the X-ray diffraction stick pattern of AcAg4Au3O12 was computed for Cu Kα.
Lines closer than 0.1° are merged.

Peak list (12 most intense, 2θ = 10–90°, most intense first)
| index | 2theta | I_rel |
| --- | --- | --- |
| 2 2 0 | 31.4 | 100 |
| 4 2 2 | 55.9 | 45 |
| 4 0 0 | 45.0 | 22 |
| 6 2 0 | 74.5 | 18 |
| 4 4 0 | 65.6 | 13 |
| 2 0 0 | 22.1 | 9 |
| 2 2 2 | 38.7 | 5 |
| 4 4 4 | 83.1 | 5 |
| 4 0 2 | 50.7 | 4 |
| 6 0 0 | 70.1 | 3 |
| 6 4 0 | 87.3 | 1 |
| 6 2 2 | 78.8 | 1 |

Crystal structure
```
data_AcAg4Au3O12
_chemical_formula_sum 'Ac2 Ag8 Au6 O24'
_cell_length_a 8.052
_cell_length_b 8.052
_cell_length_c 8.052
_cell_angle_alpha 90.00
_cell_angle_beta 90.00
_cell_angle_gamma 90.00
_space_group_name_H-M_alt 'I m -3'
_space_group_IT_number 204
_space_group_name_Hall '-I 2 2 3'
loop_
_atom_site_label
_atom_site_fract_x
_atom_site_fract_y
_atom_site_fract_z
_atom_site_occupancy
Ac1 0.000 0.000 0.000 1
Ag1 0.250 0.250 0.250 1
Au1 0.000 0.000 0.500 1
O1 0.000 0.307 0.164 1
```

---

No. 3
Starting from a cell relaxed with PBE, the X-ray diffraction stick pattern of La2ScCl was computed for Cu Kα.
Lines closer than 0.1° are merged.

Peak list (12 most intense, 2θ = 10–90°, most intense first)
| index | 2theta | I_rel |
| --- | --- | --- |
| 2 0 0 | 30.7 | 100 |
| 1 1 1 | 33.1 | 89 |
| 1 1 0 | 21.6 | 68 |
| 2 0 1 | 39.9 | 46 |
| 0 0 1 | 24.8 | 41 |
| 3 1 1 | 56.1 | 39 |
| 2 2 0 | 44.0 | 36 |
| 1 0 1 | 29.2 | 32 |
| 2 2 1 | 51.1 | 22 |
| 2 1 1 | 42.9 | 21 |
| 3 1 0 | 49.5 | 16 |
| 2 0 2 | 60.6 | 16 |

Crystal structure
```
data_La2ScCl
_chemical_formula_sum 'La2 Sc1 Cl1'
_cell_length_a 5.826
_cell_length_b 5.826
_cell_length_c 3.587
_cell_angle_alpha 90.00
_cell_angle_beta 90.00
_cell_angle_gamma 90.00
_space_group_name_H-M_alt 'P -4 m 2'
_space_group_IT_number 115
loop_
_space_group_symop_operation_xyz
'x,y,z'
'y,-x,-z'
'-x,-y,z'
'-y,x,-z'
'-x,y,z'
'-y,-x,-z'
'x,-y,z'
'y,x,-z'
loop_
_atom_site_label
_atom_site_fract_x
_atom_site_fract_y
_atom_site_fract_z
_atom_site_occupancy
La1 0.000 0.500 0.062 1
Sc1 0.500 0.500 0.500 1
Cl1 0.000 0.000 0.000 1
```

---

No. 4
Starting from a cell relaxed with PBE, the X-ray diffraction stick pattern of Nd5ThS6 was computed for Cu Kα.
Lines closer than 0.1° are merged.

Peak list (12 most intense, 2θ = 10–90°, most intense first)
| index | 2theta | I_rel |
| --- | --- | --- |
| 1 3 1 | 31.1 | 100 |
| 2 0 0 | 26.9 | 80 |
| 1 3 -3 | 44.5 | 37 |
| 2 0 2 | 44.6 | 36 |
| 1 3 3 | 52.8 | 27 |
| 0 0 4 | 55.3 | 19 |
| 3 3 -5 | 73.7 | 16 |
| 3 3 3 | 73.8 | 16 |
| 4 6 -4 | 82.1 | 12 |
| 4 0 -4 | 64.9 | 12 |
| 3 3 1 | 52.9 | 10 |
| 1 3 -5 | 71.5 | 8 |

Crystal structure
```
data_Nd5ThS6
_chemical_formula_sum 'Nd10 Th2 S12'
_cell_length_a 7.026
_cell_length_b 12.196
_cell_length_c 7.051
_cell_angle_alpha 90.00
_cell_angle_beta 109.54
_cell_angle_gamma 90.00
_space_group_name_H-M_alt 'C 1 2/m 1'
_space_group_IT_number 12
loop_
_space_group_symop_operation_xyz
'x,y,z'
'-x,-y,-z'
'-x,y,-z'
'x,-y,z'
'x+1/2,y+1/2,z'
'-x+1/2,-y+1/2,-z'
'-x+1/2,y+1/2,-z'
'x+1/2,-y+1/2,z'
loop_
_atom_site_label
_atom_site_fract_x
_atom_site_fract_y
_atom_site_fract_z
_atom_site_occupancy
Nd1 0.000 0.000 0.000 1
Nd2 0.000 0.167 0.500 1
Nd3 0.000 0.330 0.000 1
Th1 0.000 0.500 0.500 1
S1 0.247 0.500 0.249 1
S2 0.248 0.335 0.748 1
```

---

No. 5
Starting from a cell relaxed with PBE, the X-ray diffraction stick pattern of SmTmSbTe was computed for Cu Kα.
Lines closer than 0.1° are merged.

Peak list (12 most intense, 2θ = 10–90°, most intense first)
| index | 2theta | I_rel |
| --- | --- | --- |
| 0 1 5 | 31.0 | 100 |
| 1 1 0 | 42.1 | 58 |
| 1 0 7 | 36.6 | 49 |
| 0 1 2 | 25.2 | 35 |
| 1 1 12 | 65.5 | 27 |
| 2 0 5 | 53.2 | 22 |
| 1 2 5 | 70.0 | 19 |
| 1 0 4 | 28.6 | 17 |
| 1 0 1 | 24.2 | 16 |
| 0 2 7 | 57.0 | 14 |
| 2 1 7 | 73.3 | 13 |
| 1 0 10 | 46.6 | 13 |

Crystal structure
```
data_SmTmSbTe
_chemical_formula_sum 'Sm3 Tm3 Sb3 Te3'
_cell_length_a 4.2943
_cell_length_b 4.2943
_cell_length_c 22.8743
_cell_angle_alpha 90.00
_cell_angle_beta 90.00
_cell_angle_gamma 120.00
_space_group_name_H-M_alt 'R 3 m'
_space_group_IT_number 160
_space_group_name_Hall 'R 3 -2"'
loop_
_atom_site_label
_atom_site_fract_x
_atom_site_fract_y
_atom_site_fract_z
_atom_site_occupancy
Sm1 0.0000 0.0000 0.0000 1
Tm1 0.0000 0.0000 0.1786 1
Sb1 0.0000 0.0000 0.5876 1
Te1 0.0000 0.0000 0.4244 1
```

---

No. 6
Starting from a cell relaxed with PBE, the X-ray diffraction stick pattern of PmCu4Si3 was computed for Cu Kα.
Lines closer than 0.1° are merged.

Peak list (12 most intense, 2θ = 10–90°, most intense first)
| index | 2theta | I_rel |
| --- | --- | --- |
| 1 1 1 | 33.4 | 100 |
| 1 1 2 | 39.4 | 80 |
| 2 0 0 | 44.6 | 73 |
| 1 0 2 | 32.4 | 55 |
| 0 0 3 | 35.7 | 31 |
| 2 0 3 | 58.4 | 28 |
| 1 0 0 | 21.9 | 25 |
| 2 2 0 | 64.9 | 23 |
| 2 1 2 | 56.2 | 22 |
| 1 0 3 | 42.3 | 20 |
| 3 1 2 | 78.7 | 20 |
| 1 1 3 | 48.1 | 19 |

Crystal structure
```
data_PmCu4Si3
_chemical_formula_sum 'Pm1 Cu4 Si3'
_cell_length_a 4.063
_cell_length_b 4.063
_cell_length_c 7.540
_cell_angle_alpha 90.00
_cell_angle_beta 90.00
_cell_angle_gamma 90.00
_space_group_name_H-M_alt 'P 4/m m m'
_space_group_IT_number 123
_space_group_name_Hall '-P 4 2'
loop_
_atom_site_label
_atom_site_fract_x
_atom_site_fract_y
_atom_site_fract_z
_atom_site_occupancy
Pm1 0.000 0.000 0.000 1
Cu1 0.000 0.500 0.326 1
Si1 0.000 0.000 0.500 1
Si2 0.500 0.500 0.156 1
```

---

No. 7
Starting from a cell relaxed with PBE, the X-ray diffraction stick pattern of Hf3Mn2Fe7 was computed for Cu Kα.
Lines closer than 0.1° are merged.

Peak list (12 most intense, 2θ = 10–90°, most intense first)
| index | 2theta | I_rel |
| --- | --- | --- |
| 1 1 6 | 43.6 | 100 |
| 1 1 0 | 36.8 | 62 |
| 1 0 7 | 34.0 | 60 |
| 0 1 8 | 37.1 | 42 |
| 0 2 1 | 42.9 | 41 |
| 1 0 1 | 21.3 | 22 |
| 3 0 6 | 70.9 | 22 |
| 2 2 0 | 78.2 | 21 |
| 2 1 7 | 64.4 | 20 |
| 1 2 8 | 66.4 | 15 |
| 1 1 15 | 71.2 | 14 |
| 2 0 14 | 71.5 | 13 |

Crystal structure
```
data_Hf3Mn2Fe7
_chemical_formula_sum 'Hf9 Mn6 Fe21'
_cell_length_a 4.8885
_cell_length_b 4.8885
_cell_length_c 23.6338
_cell_angle_alpha 90.00
_cell_angle_beta 90.00
_cell_angle_gamma 120.00
_space_group_name_H-M_alt 'R -3 m'
_space_group_IT_number 166
_space_group_name_Hall '-R 3 2"'
loop_
_atom_site_label
_atom_site_fract_x
_atom_site_fract_y
_atom_site_fract_z
_atom_site_occupancy
Hf1 0.0000 0.0000 0.0000 1
Hf2 0.0000 0.0000 0.1410 1
Mn1 0.0000 0.0000 0.3333 1
Fe1 0.0000 0.0000 0.5000 1
Fe2 0.0032 0.5016 0.9167 1
```

---

No. 8
Starting from a cell relaxed with PBE, the X-ray diffraction stick pattern of MnOs3Ru2 was computed for Cu Kα.
Lines closer than 0.1° are merged.

Peak list (12 most intense, 2θ = 10–90°, most intense first)
| index | 2theta | I_rel |
| --- | --- | --- |
| 2 2 1 | 41.0 | 100 |
| 4 2 -1 | 47.7 | 43 |
| 6 0 0 | 41.1 | 33 |
| 3 1 0 | 26.2 | 28 |
| 0 2 3 | 69.8 | 28 |
| 4 0 2 | 47.8 | 21 |
| 6 2 -3 | 84.2 | 17 |
| 6 2 3 | 84.4 | 16 |
| 8 2 1 | 70.0 | 14 |
| 2 0 4 | 84.3 | 12 |
| 1 3 -1 | 55.2 | 8 |
| 4 4 2 | 89.0 | 7 |

Crystal structure
```
data_MnOs3Ru2
_chemical_formula_sum 'Mn4 Os12 Ru8'
_cell_length_a 13.174
_cell_length_b 5.389
_cell_length_c 4.671
_cell_angle_alpha 90.00
_cell_angle_beta 90.18
_cell_angle_gamma 90.00
_space_group_name_H-M_alt 'C 1 2/c 1'
_space_group_IT_number 15
loop_
_space_group_symop_operation_xyz
'x,y,z'
'-x,-y,-z'
'-x,y,-z+1/2'
'x,-y,z+1/2'
'x+1/2,y+1/2,z'
'-x+1/2,-y+1/2,-z'
'-x+1/2,y+1/2,-z+1/2'
'x+1/2,-y+1/2,z+1/2'
loop_
_atom_site_label
_atom_site_fract_x
_atom_site_fract_y
_atom_site_fract_z
_atom_site_occupancy
Mn1 0.000 0.128 0.250 1
Os1 0.000 0.371 0.750 1
Os2 0.164 0.123 0.917 1
Ru1 0.165 0.373 0.415 1
```

---

No. 9
Starting from a cell relaxed with PBE, the X-ray diffraction stick pattern of NdMg2Au4 was computed for Cu Kα.
Lines closer than 0.1° are merged.

Peak list (12 most intense, 2θ = 10–90°, most intense first)
| index | 2theta | I_rel |
| --- | --- | --- |
| 3 0 1 | 41.3 | 100 |
| 2 1 1 | 32.3 | 73 |
| 0 0 2 | 31.9 | 62 |
| 2 2 0 | 35.7 | 58 |
| 2 0 0 | 25.0 | 54 |
| 2 0 2 | 41.0 | 47 |
| 2 2 2 | 48.6 | 36 |
| 5 2 1 | 73.6 | 36 |
| 3 0 3 | 63.4 | 29 |
| 3 2 1 | 48.9 | 28 |
| 5 0 1 | 67.9 | 23 |
| 3 3 2 | 64.8 | 23 |

Crystal structure
```
data_NdMg2Au4
_chemical_formula_sum 'Nd2 Mg4 Au8'
_cell_length_a 7.120
_cell_length_b 7.120
_cell_length_c 5.604
_cell_angle_alpha 90.00
_cell_angle_beta 90.00
_cell_angle_gamma 90.00
_space_group_name_H-M_alt 'I 4/m m m'
_space_group_IT_number 139
_space_group_name_Hall '-I 4 2'
loop_
_atom_site_label
_atom_site_fract_x
_atom_site_fract_y
_atom_site_fract_z
_atom_site_occupancy
Nd1 0.000 0.000 0.000 1
Mg1 0.000 0.500 0.250 1
Au1 0.199 0.199 0.500 1
```

---

No. 10
Starting from a cell relaxed with PBE, the X-ray diffraction stick pattern of TlZnInNiPt was computed for Cu Kα.
Lines closer than 0.1° are merged.

Peak list (12 most intense, 2θ = 10–90°, most intense first)
| index | 2theta | I_rel |
| --- | --- | --- |
| 1 1 1 | 36.5 | 100 |
| 1 1 2 | 43.4 | 44 |
| 0 1 1 | 26.5 | 39 |
| 1 0 2 | 36.3 | 34 |
| 0 0 3 | 39.8 | 27 |
| 0 2 0 | 46.9 | 22 |
| 2 0 0 | 50.6 | 18 |
| 1 1 4 | 65.4 | 15 |
| 1 2 2 | 60.8 | 15 |
| 0 0 1 | 13.0 | 14 |
| 0 2 3 | 63.2 | 13 |
| 2 2 0 | 71.5 | 12 |

Crystal structure
```
data_TlZnInNiPt
_chemical_formula_sum 'Tl1 Zn1 In1 Ni1 Pt1'
_cell_length_a 3.608
_cell_length_b 3.872
_cell_length_c 6.788
_cell_angle_alpha 90.00
_cell_angle_beta 90.00
_cell_angle_gamma 90.00
_space_group_name_H-M_alt 'P m m 2'
_space_group_IT_number 25
loop_
_space_group_symop_operation_xyz
'x,y,z'
'-x,-y,z'
'-x,y,z'
'x,-y,z'
loop_
_atom_site_label
_atom_site_fract_x
_atom_site_fract_y
_atom_site_fract_z
_atom_site_occupancy
Tl1 0.000 0.000 0.000 1
Zn1 0.500 0.000 0.362 1
In1 0.500 0.500 0.697 1
Ni1 0.500 0.500 0.089 1
Pt1 0.000 0.500 0.387 1
```

---

No. 11
Starting from a cell relaxed with PBE, the X-ray diffraction stick pattern of Ho8Sn5Sb was computed for Cu Kα.
Lines closer than 0.1° are merged.

Peak list (12 most intense, 2θ = 10–90°, most intense first)
| index | 2theta | I_rel |
| --- | --- | --- |
| 3 1 0 | 30.6 | 100 |
| 1 2 3 | 36.4 | 68 |
| 1 1 6 | 62.0 | 25 |
| 4 3 1 | 50.4 | 25 |
| 4 2 2 | 48.3 | 18 |
| 5 2 5 | 75.7 | 15 |
| 4 1 5 | 65.5 | 15 |
| 6 0 2 | 63.8 | 12 |
| 2 4 0 | 43.9 | 9 |
| 3 2 3 | 46.1 | 8 |
| 4 4 4 | 70.7 | 6 |
| 7 3 2 | 82.2 | 5 |

Crystal structure
```
data_Ho8Sn5Sb
_chemical_formula_sum 'Ho16 Sn10 Sb2'
_cell_length_a 9.229
_cell_length_b 9.229
_cell_length_c 9.234
_cell_angle_alpha 90.00
_cell_angle_beta 90.00
_cell_angle_gamma 90.00
_space_group_name_H-M_alt 'I -4'
_space_group_IT_number 82
loop_
_space_group_symop_operation_xyz
'x,y,z'
'y,-x,-z'
'-x,-y,z'
'-y,x,-z'
'x+1/2,y+1/2,z+1/2'
'y+1/2,-x+1/2,-z+1/2'
'-x+1/2,-y+1/2,z+1/2'
'-y+1/2,x+1/2,-z+1/2'
loop_
_atom_site_label
_atom_site_fract_x
_atom_site_fract_y
_atom_site_fract_z
_atom_site_occupancy
Ho1 0.072 0.178 0.197 1
Ho2 0.072 0.321 0.555 1
Sn1 0.000 0.000 0.500 1
Sn2 0.126 0.250 0.876 1
Sb1 0.000 0.500 0.250 1
```

---

No. 12
Starting from a cell relaxed with PBE, the X-ray diffraction stick pattern of ZnTc2Ni6 was computed for Cu Kα.
Lines closer than 0.1° are merged.

Peak list (12 most intense, 2θ = 10–90°, most intense first)
| index | 2theta | I_rel |
| --- | --- | --- |
| 0 4 1 | 44.1 | 100 |
| 5 1 1 | 44.7 | 84 |
| 0 0 2 | 45.0 | 49 |
| 5 3 0 | 47.2 | 31 |
| 5 3 2 | 67.3 | 20 |
| 2 0 0 | 14.7 | 19 |
| 5 5 0 | 62.0 | 16 |
| 3 1 0 | 24.0 | 15 |
| 0 4 3 | 82.4 | 15 |
| 5 5 2 | 79.8 | 14 |
| 3 3 1 | 42.6 | 14 |
| 5 1 3 | 82.8 | 12 |

Crystal structure
```
data_ZnTc2Ni6
_chemical_formula_sum 'Zn4 Tc8 Ni24'
_cell_length_a 12.087
_cell_length_b 9.540
_cell_length_c 4.029
_cell_angle_alpha 90.00
_cell_angle_beta 90.00
_cell_angle_gamma 90.00
_space_group_name_H-M_alt 'C m c m'
_space_group_IT_number 63
_space_group_name_Hall '-C 2c 2'
loop_
_atom_site_label
_atom_site_fract_x
_atom_site_fract_y
_atom_site_fract_z
_atom_site_occupancy
Zn1 0.000 0.192 0.250 1
Tc1 0.186 0.429 0.250 1
Ni1 0.096 0.315 0.750 1
Ni2 0.105 0.065 0.750 1
Ni3 0.201 0.174 0.250 1
```

---

No. 13
Starting from a cell relaxed with PBE, the X-ray diffraction stick pattern of Tl3HgO3 was computed for Cu Kα.
Lines closer than 0.1° are merged.

Peak list (12 most intense, 2θ = 10–90°, most intense first)
| index | 2theta | I_rel |
| --- | --- | --- |
| 2 -1 3 | 28.9 | 100 |
| 1 1 6 | 35.8 | 50 |
| 3 0 0 | 46.3 | 32 |
| 3 0 9 | 60.1 | 23 |
| 2 2 3 | 55.4 | 17 |
| 0 0 9 | 36.2 | 17 |
| 2 -1 12 | 56.3 | 14 |
| 5 -1 3 | 75.0 | 14 |
| 4 -2 6 | 59.8 | 12 |
| 4 1 6 | 78.8 | 11 |
| 2 -1 9 | 45.2 | 9 |
| 1 0 1 | 15.6 | 8 |

Crystal structure
```
data_Tl3HgO3
_chemical_formula_sum 'Tl18 Hg6 O18'
_cell_length_a 6.7991
_cell_length_b 6.7991
_cell_length_c 22.3588
_cell_angle_alpha 90.00
_cell_angle_beta 90.00
_cell_angle_gamma 120.00
_space_group_name_H-M_alt 'R -3'
_space_group_IT_number 148
_space_group_name_Hall '-R 3'
loop_
_atom_site_label
_atom_site_fract_x
_atom_site_fract_y
_atom_site_fract_z
_atom_site_occupancy
Tl1 0.0044 0.6609 0.3989 1
Hg1 0.0000 0.0000 0.1669 1
O1 0.0067 0.6884 0.6247 1
```